This entry pairs a crystal structure of CdI2 with its simulated X-ray powder pattern. Radiation: λ = 1.5418 Å (Cu Kα). Structure: the GGA-PBE geometry in the Materials Project.
Lines closer than 0.1° are merged.

Main lines, in order of falling intensity (5° ≤ 2θ ≤ 70°):
h k l, Position (°2θ), I/Imax
1 0 11, 26.61, 100
0 0 11, 12.05, 48
1 1 0, 41.56, 48
1 0 22, 34.10, 30
0 1 33, 44.11, 26
1 1 44, 66.67, 21
0 2 11, 50.03, 17
2 1 11, 67.00, 14
1 1 11, 43.42, 12
1 0 18, 31.00, 11

Atomic structure:
```
data_CdI2
_chemical_formula_sum 'Cd11 I22'
_space_group_name_H-M_alt 'P 3 m 1'
_space_group_IT_number 156
_cell_length_a 4.3462
_cell_length_b 4.3462
_cell_length_c 80.8251
_cell_angle_alpha 90.00
_cell_angle_beta 90.00
_cell_angle_gamma 120.00
loop_
_space_group_symop_operation_xyz
'x,y,z'
'-y,x-y,z'
'-x+y,-x,z'
'-y,-x,z'
'-x+y,y,z'
'x,x-y,z'
loop_
_atom_site_label
_atom_site_fract_x
_atom_site_fract_y
_atom_site_fract_z
Cd1 0.0000 0.0000 0.0000
Cd2 0.0000 0.0000 0.0909
Cd3 0.0000 0.0000 0.1818
Cd4 0.0000 0.0000 0.2727
Cd5 0.0000 0.0000 0.3637
Cd6 0.0000 0.0000 0.5455
Cd7 0.0000 0.0000 0.7273
Cd8 0.0000 0.0000 0.8182
Cd9 0.3333 0.6667 0.4546
Cd10 0.3333 0.6667 0.6364
Cd11 0.3333 0.6667 0.9091
I1 0.0000 0.0000 0.4332
I2 0.0000 0.0000 0.6150
I3 0.0000 0.0000 0.8877
I4 0.3333 0.6667 0.0695
I5 0.3333 0.6667 0.1604
I6 0.3333 0.6667 0.2513
I7 0.3333 0.6667 0.3423
I8 0.3333 0.6667 0.5241
I9 0.3333 0.6667 0.7059
I10 0.3333 0.6667 0.7968
I11 0.3333 0.6667 0.9786
I12 0.6667 0.3333 0.0214
I13 0.6667 0.3333 0.1123
I14 0.6667 0.3333 0.2032
I15 0.6667 0.3333 0.2941
I16 0.6667 0.3333 0.3851
I17 0.6667 0.3333 0.4760
I18 0.6667 0.3333 0.5669
I19 0.6667 0.3333 0.6578
I20 0.6667 0.3333 0.7487
I21 0.6667 0.3333 0.8396
I22 0.6667 0.3333 0.9305
```